Entry 1:
Structure and simulated powder X-ray diffraction pattern of SrZn2Ru2C (a GGA-PBE-relaxed structure; Cu Kα (weighted mean of Kα1 and Kα2)).
Peak positions follow from Bragg's law for the DFT cell and can differ from measured ones.

Peak list (6 most intense, 5 to 70 degrees two-theta, by intensity)
2.604 Å, I 100.0; 2.059 Å, I 84.5; 2.373 Å, I 44.7; 5.806 Å, I 24.1; 1.556 Å, I 22.6; 1.457 Å, I 16.7

Structure:
```
SrZn2Ru2C
1.0
4.1208 0.0000 0.0000
0.0000 4.1208 0.0000
0.0000 0.0000 5.8062
Sr Zn Ru C
1 2 2 1
Cartesian
0.0000 0.0000 0.0000
2.0604 2.0604 1.3023
2.0604 2.0604 4.5039
0.0000 2.0604 2.9031
2.0604 0.0000 2.9031
0.0000 0.0000 2.9031
```

---

Entry 2:
Structure and simulated powder X-ray diffraction pattern of TbU2RuC4 (a GGA-PBE-relaxed structure; Cu Kα (weighted mean of Kα1 and Kα2)).
Peak positions follow from Bragg's law for the DFT cell and can differ from measured ones.

Peak list (6 most intense, 5 to 70 degrees two-theta, by intensity)
2.905 Å, I 100.0; 2.372 Å, I 47.3; 3.203 Å, I 38.6; 1.729 Å, I 19.0; 2.880 Å, I 15.3; 1.901 Å, I 14.1

Structure:
```
TbU2RuC4
1.0
1.7576 -5.8068 0.0000
1.7576 5.8068 0.0000
0.0000 0.0000 11.5217
Tb U Ru C
2 4 2 8
Cartesian
1.7576 4.5281 8.6413
1.7576 -4.5281 2.8804
1.7576 1.5038 6.3233
1.7576 1.5038 10.9592
1.7576 -1.5038 0.5625
1.7576 -1.5038 5.1984
1.7576 4.0475 2.8804
1.7576 -4.0475 8.6413
0.0000 0.0000 0.0000
0.0000 0.0000 5.7609
1.7576 2.7528 1.3327
1.7576 2.7528 4.4282
1.7576 0.5896 8.6413
1.7576 -0.5896 2.8804
1.7576 -2.7528 7.0935
1.7576 -2.7528 10.1890
```

---

Entry 3:
Structure and simulated powder X-ray diffraction pattern of UTcRuC (a GGA-PBE-relaxed structure; Cu Kα (weighted mean of Kα1 and Kα2)).
Peak positions follow from Bragg's law for the DFT cell and can differ from measured ones.

Peak list (6 most intense, 5 to 70 degrees two-theta, by intensity)
2.337 Å, I 100.0; 2.863 Å, I 28.6; 4.129 Å, I 27.3; 4.045 Å, I 27.3; 2.834 Å, I 26.7; 2.065 Å, I 19.0

Structure:
```
UTcRuC
1.0
3.9720 0.0000 0.0000
0.0000 4.0446 0.0000
0.0000 0.0000 4.1293
U Tc Ru C
1 1 1 1
Cartesian
0.0000 0.0000 0.0000
1.9860 2.0223 0.0000
1.9860 0.0000 2.0646
1.9860 2.0223 2.0646
```

---

Entry 4:
Structure and simulated powder X-ray diffraction pattern of Th2Ru6C5 (a GGA-PBE-relaxed structure; Cu Kα (weighted mean of Kα1 and Kα2)).
Peak positions follow from Bragg's law for the DFT cell and can differ from measured ones.

Peak list (6 most intense, 5 to 70 degrees two-theta, by intensity)
2.931 Å, I 100.0; 2.383 Å, I 86.2; 2.220 Å, I 53.0; 1.525 Å, I 36.8; 2.100 Å, I 30.3; 2.563 Å, I 26.0

Structure:
```
Th2Ru6C5
1.0
9.1515 0.0000 0.0000
0.0000 9.1515 0.0000
0.0000 0.0000 4.1991
Th Ru C
4 12 10
Cartesian
1.5904 2.9853 0.0000
2.9853 7.5611 0.0000
6.1662 1.5904 0.0000
7.5611 6.1662 0.0000
0.0000 0.0000 0.0000
0.0000 4.5758 2.0995
0.6523 7.2157 2.0995
1.9358 0.6523 2.0995
2.6400 5.2280 2.0995
3.9235 2.6400 2.0995
4.5758 0.0000 2.0995
4.5758 4.5758 0.0000
5.2280 6.5116 2.0995
6.5116 3.9235 2.0995
7.2157 8.4992 2.0995
8.4992 1.9358 2.0995
0.0000 0.0000 2.0995
1.1531 5.7288 0.7164
1.1531 5.7288 3.4827
3.4227 1.1531 0.7164
3.4227 1.1531 3.4827
4.5758 4.5758 2.0995
5.7288 7.9984 0.7164
5.7288 7.9984 3.4827
7.9984 3.4227 0.7164
7.9984 3.4227 3.4827
```

---

Entry 5:
Structure and simulated powder X-ray diffraction pattern of TiRu2C2 (a GGA-PBE-relaxed structure; Cu Kα (weighted mean of Kα1 and Kα2)).
Peak positions follow from Bragg's law for the DFT cell and can differ from measured ones.

Peak list (6 most intense, 5 to 70 degrees two-theta, by intensity)
2.235 Å, I 100.0; 2.645 Å, I 75.0; 1.434 Å, I 46.3; 1.870 Å, I 35.8; 3.415 Å, I 30.3; 1.640 Å, I 20.2

Structure:
```
TiRu2C2
1.0
3.7404 0.0000 0.0000
0.0000 3.7404 0.0000
0.0000 0.0000 8.3636
Ti Ru C
2 4 4
Cartesian
0.0000 0.0000 0.0000
1.8702 1.8702 4.1818
0.0000 0.0000 2.9329
0.0000 0.0000 5.4308
1.8702 1.8702 1.2489
1.8702 1.8702 7.1147
0.0000 1.8702 2.0909
0.0000 1.8702 6.2727
1.8702 0.0000 2.0909
1.8702 0.0000 6.2727
```

---

Entry 6:
Structure and simulated powder X-ray diffraction pattern of Tm2RuC2 (a GGA-PBE-relaxed structure; Cu Kα (weighted mean of Kα1 and Kα2)).
Peak positions follow from Bragg's law for the DFT cell and can differ from measured ones.

Peak list (6 most intense, 5 to 70 degrees two-theta, by intensity)
2.707 Å, I 100.0; 2.604 Å, I 70.1; 2.507 Å, I 55.6; 2.673 Å, I 30.3; 2.495 Å, I 29.3; 1.525 Å, I 20.7

Structure:
```
Tm2RuC2
1.0
6.4218 0.0000 0.0000
0.0000 5.0139 0.0000
0.0000 0.0000 9.6539
Tm Ru C
8 4 8
Cartesian
0.1879 1.2535 2.0824
1.1148 1.2535 5.3673
2.0961 3.7604 0.5404
3.0230 3.7604 6.9094
3.3989 1.2535 2.7445
4.3257 1.2535 9.1135
5.3070 3.7604 4.2866
6.2339 3.7604 7.5715
1.3872 1.2535 8.3722
1.8237 3.7604 3.5452
4.5982 1.2535 6.1087
5.0346 3.7604 1.2817
0.3108 3.7604 2.3339
1.0986 3.7604 5.3829
2.1123 1.2535 0.5560
2.9001 1.2535 7.1609
3.5218 3.7604 2.4930
4.3096 3.7604 9.0979
5.3232 1.2535 4.2710
6.1110 1.2535 7.3200
```